1.
For GdTlW2O8, the PBE+U geometry in Alexandria gives the theoretical powder diffractogram in this record (Cu Kα, 1.54184 Å).
Intensities are scaled so that the largest is 100.

Crystal structure
Unit cell a=7.734 b=7.734 c=7.510 alpha=117.63 beta=117.63 gamma=88.64
Atoms (fractional coordinates):
Gd (0.224, 0.776, 0.750)
Gd (0.776, 0.224, 0.250)
Tl (0.213, 0.787, 0.250)
Tl (0.787, 0.213, 0.750)
W (0.301, 0.310, 0.785)
W (0.310, 0.301, 0.285)
W (0.690, 0.699, 0.715)
W (0.699, 0.690, 0.215)
O (0.046, 0.228, 0.194)
O (0.061, 0.366, 0.626)
O (0.228, 0.046, 0.694)
O (0.250, 0.376, 0.059)
O (0.366, 0.061, 0.126)
O (0.374, 0.591, 0.534)
O (0.376, 0.250, 0.559)
O (0.409, 0.626, 0.966)
O (0.591, 0.374, 0.034)
O (0.624, 0.750, 0.441)
O (0.626, 0.409, 0.466)
O (0.634, 0.939, 0.874)
O (0.750, 0.624, 0.941)
O (0.772, 0.954, 0.306)
O (0.939, 0.634, 0.374)
O (0.954, 0.772, 0.806)

Peak list (10 most intense, 2θ from 5° to 70°, in order of falling intensity)
- 2θ 26.85, I = 100
- 2θ 28.97, I = 75
- 2θ 31.29, I = 30
- 2θ 46.24, I = 20
- 2θ 55.49, I = 19
- 2θ 32.58, I = 18
- 2θ 33.16, I = 16
- 2θ 53.50, I = 16
- 2θ 32.95, I = 15
- 2θ 27.67, I = 14

2.
For GdVO3, the PBE+U geometry in Alexandria gives the theoretical powder diffractogram in this record (Cu Kα, 1.54184 Å).
Intensities are scaled so that the largest is 100.

Crystal structure
Unit cell a=5.716 b=7.736 c=5.413 alpha=90.00 beta=90.00 gamma=90.00
Atoms (fractional coordinates):
Gd (0.065, 0.250, 0.021)
Gd (0.435, 0.750, 0.521)
Gd (0.565, 0.250, 0.479)
Gd (0.935, 0.750, 0.979)
V (0.000, 0.000, 0.500)
V (0.000, 0.500, 0.500)
V (0.500, 0.000, 0.000)
V (0.500, 0.500, 0.000)
O (0.038, 0.750, 0.388)
O (0.202, 0.557, 0.809)
O (0.202, 0.943, 0.809)
O (0.298, 0.057, 0.309)
O (0.298, 0.443, 0.309)
O (0.462, 0.250, 0.888)
O (0.538, 0.750, 0.112)
O (0.702, 0.557, 0.691)
O (0.702, 0.943, 0.691)
O (0.798, 0.057, 0.191)
O (0.798, 0.443, 0.191)
O (0.962, 0.250, 0.612)

Peak list (10 most intense, 2θ from 5° to 70°, in order of falling intensity)
- 2θ 32.48, I = 100
- 2θ 58.71, I = 33
- 2θ 22.62, I = 25
- 2θ 33.10, I = 24
- 2θ 25.42, I = 22
- 2θ 52.25, I = 22
- 2θ 31.30, I = 18
- 2θ 46.19, I = 18
- 2θ 22.99, I = 17
- 2θ 33.42, I = 15

3.
For Gd3YV4O16, the PBE+U geometry in Alexandria gives the theoretical powder diffractogram in this record (Cu Kα, 1.54184 Å).
Intensities are scaled so that the largest is 100.

Crystal structure
Unit cell a=6.062 b=6.062 c=10.295 alpha=90.00 beta=90.00 gamma=116.24
Atoms (fractional coordinates):
Gd (0.000, 0.000, 0.000)
Gd (0.000, 0.500, 0.251)
Gd (0.500, 0.000, 0.749)
Y (0.500, 0.500, 0.500)
V (0.000, 0.000, 0.500)
V (0.000, 0.500, 0.748)
V (0.500, 0.000, 0.252)
V (0.500, 0.500, 0.000)
O (0.082, 0.765, 0.840)
O (0.084, 0.267, 0.409)
O (0.234, 0.418, 0.092)
O (0.235, 0.918, 0.160)
O (0.266, 0.581, 0.656)
O (0.267, 0.084, 0.591)
O (0.418, 0.234, 0.908)
O (0.419, 0.734, 0.344)
O (0.581, 0.266, 0.344)
O (0.582, 0.766, 0.908)
O (0.733, 0.916, 0.591)
O (0.734, 0.419, 0.656)
O (0.765, 0.082, 0.160)
O (0.766, 0.582, 0.092)
O (0.916, 0.733, 0.409)
O (0.918, 0.235, 0.840)

Peak list (10 most intense, 2θ from 5° to 70°, in order of falling intensity)
- 2θ 24.46, I = 100
- 2θ 32.95, I = 68
- 2θ 48.72, I = 58
- 2θ 18.45, I = 33
- 2θ 34.86, I = 20
- 2θ 61.30, I = 17
- 2θ 50.13, I = 16
- 2θ 39.73, I = 14
- 2θ 56.54, I = 13
- 2θ 69.09, I = 13

4.
For GdY3V4O16, the PBE+U geometry in Alexandria gives the theoretical powder diffractogram in this record (Cu Kα, 1.54184 Å).
Intensities are scaled so that the largest is 100.

Crystal structure
Unit cell a=6.033 b=6.033 c=10.246 alpha=90.00 beta=90.00 gamma=116.19
Atoms (fractional coordinates):
Gd (0.000, 0.000, 0.000)
Y (0.000, 0.500, 0.251)
Y (0.500, 0.000, 0.749)
Y (0.500, 0.500, 0.500)
V (0.000, 0.000, 0.500)
V (0.000, 0.500, 0.748)
V (0.500, 0.000, 0.252)
V (0.500, 0.500, 0.000)
O (0.083, 0.267, 0.408)
O (0.085, 0.767, 0.840)
O (0.233, 0.915, 0.160)
O (0.234, 0.419, 0.093)
O (0.267, 0.083, 0.592)
O (0.268, 0.583, 0.656)
O (0.417, 0.732, 0.344)
O (0.419, 0.234, 0.907)
O (0.581, 0.766, 0.907)
O (0.583, 0.268, 0.344)
O (0.732, 0.417, 0.656)
O (0.733, 0.917, 0.592)
O (0.766, 0.581, 0.093)
O (0.767, 0.085, 0.160)
O (0.915, 0.233, 0.840)
O (0.917, 0.733, 0.408)

Peak list (10 most intense, 2θ from 5° to 70°, in order of falling intensity)
- 2θ 24.58, I = 100
- 2θ 33.09, I = 64
- 2θ 48.96, I = 57
- 2θ 18.54, I = 19
- 2θ 61.62, I = 17
- 2θ 35.04, I = 17
- 2θ 50.39, I = 16
- 2θ 39.92, I = 12
- 2θ 56.84, I = 12
- 2θ 69.43, I = 11

5.
For GdWO5, the PBE+U geometry in Alexandria gives the theoretical powder diffractogram in this record (Cu Kα, 1.54184 Å).
Intensities are scaled so that the largest is 100.

Crystal structure
Unit cell a=5.362 b=12.879 c=7.138 alpha=90.00 beta=116.79 gamma=90.00
Atoms (fractional coordinates):
Gd (0.135, 0.054, 0.288)
Gd (0.135, 0.446, 0.788)
Gd (0.865, 0.554, 0.212)
Gd (0.865, 0.946, 0.712)
W (0.369, 0.140, 0.857)
W (0.369, 0.360, 0.357)
W (0.631, 0.640, 0.643)
W (0.631, 0.860, 0.143)
O (0.048, 0.095, 0.579)
O (0.048, 0.405, 0.079)
O (0.142, 0.083, 0.963)
O (0.142, 0.417, 0.463)
O (0.297, 0.625, 0.409)
O (0.297, 0.875, 0.909)
O (0.321, 0.222, 0.324)
O (0.321, 0.278, 0.824)
O (0.496, 0.065, 0.676)
O (0.496, 0.435, 0.176)
O (0.504, 0.565, 0.824)
O (0.504, 0.935, 0.324)
O (0.679, 0.722, 0.176)
O (0.679, 0.778, 0.676)
O (0.703, 0.125, 0.091)
O (0.703, 0.375, 0.591)
O (0.858, 0.583, 0.537)
O (0.858, 0.917, 0.037)
O (0.952, 0.595, 0.921)
O (0.952, 0.905, 0.421)

Peak list (10 most intense, 2θ from 5° to 70°, in order of falling intensity)
- 2θ 19.79, I = 100
- 2θ 27.19, I = 86
- 2θ 27.95, I = 69
- 2θ 31.25, I = 68
- 2θ 25.67, I = 66
- 2θ 28.84, I = 56
- 2θ 13.75, I = 45
- 2θ 26.61, I = 42
- 2θ 34.28, I = 41
- 2θ 31.12, I = 37

6.
For Gd2W3O12, the PBE+U geometry in Alexandria gives the theoretical powder diffractogram in this record (Cu Kα, 1.54184 Å).
Intensities are scaled so that the largest is 100.

Crystal structure
Unit cell a=6.989 b=6.989 c=11.517 alpha=100.69 beta=100.69 gamma=111.82
Atoms (fractional coordinates):
Gd (0.041, 0.288, 0.094)
Gd (0.288, 0.041, 0.594)
Gd (0.712, 0.959, 0.406)
Gd (0.959, 0.712, 0.906)
W (0.134, 0.866, 0.250)
W (0.249, 0.461, 0.451)
W (0.461, 0.249, 0.951)
W (0.539, 0.751, 0.049)
W (0.751, 0.539, 0.549)
W (0.866, 0.134, 0.750)
O (0.079, 0.661, 0.106)
O (0.082, 0.184, 0.459)
O (0.105, 0.461, 0.300)
O (0.124, 0.208, 0.720)
O (0.184, 0.082, 0.959)
O (0.208, 0.124, 0.220)
O (0.230, 0.664, 0.561)
O (0.336, 0.770, 0.939)
O (0.339, 0.921, 0.394)
O (0.395, 0.471, 0.073)
O (0.461, 0.105, 0.800)
O (0.471, 0.395, 0.573)
O (0.529, 0.605, 0.427)
O (0.539, 0.895, 0.200)
O (0.605, 0.529, 0.927)
O (0.661, 0.079, 0.606)
O (0.664, 0.230, 0.061)
O (0.770, 0.336, 0.439)
O (0.792, 0.876, 0.780)
O (0.816, 0.918, 0.041)
O (0.876, 0.792, 0.280)
O (0.895, 0.539, 0.700)
O (0.918, 0.816, 0.541)
O (0.921, 0.339, 0.894)

Peak list (10 most intense, 2θ from 5° to 70°, in order of falling intensity)
- 2θ 27.49, I = 100
- 2θ 29.08, I = 71
- 2θ 30.90, I = 27
- 2θ 46.50, I = 21
- 2θ 46.24, I = 21
- 2θ 33.53, I = 17
- 2θ 33.87, I = 16
- 2θ 16.31, I = 16
- 2θ 52.91, I = 15
- 2θ 46.36, I = 15